No. 1
The following is a theoretical powder XRD pattern of TbTmMo2C3. It was derived from a structure optimized by DFT (GGA-PBE), using a wavelength of 1.5418 Å.
Neutral-atom scattering factors, no anomalous dispersion.

Largest 12 diffraction maxima, most intense first, 2θ from 5° to 70°:
2θ (°)  I (rel.)
33.66  100.0
36.81  86.2
32.15  45.3
33.33  43.4
41.80  22.6
54.29  16.3
26.76  15.7
64.53  15.1
56.14  14.6
57.66  14.4
65.22  12.8
51.78  12.6

```
data_TbTmMo2C3
_cell_length_a 11.3048
_cell_length_b 3.3793
_cell_length_c 5.6819
_cell_angle_alpha 90.00
_cell_angle_beta 107.99
_cell_angle_gamma 90.00
_symmetry_space_group_name_H-M 'P 1'
_symmetry_Int_Tables_number 1
_symmetry_space_group_name_Hall 'P 1'
loop_
_atom_site_label
_atom_site_fract_x
_atom_site_fract_y
_atom_site_fract_z
Tb1 0.0000 0.0000 0.0000
Tb2 0.5000 0.5000 0.0000
Tm1 0.2281 0.0000 0.6405
Tm2 0.7281 0.5000 0.6405
Mo1 0.2632 0.5000 0.1947
Mo2 0.4638 0.0000 0.4487
Mo3 0.7632 0.0000 0.1947
Mo4 0.9638 0.5000 0.4487
C1 0.1146 0.5000 0.3266
C2 0.3412 0.0000 0.0769
C3 0.3826 0.5000 0.5632
C4 0.6146 0.0000 0.3266
C5 0.8412 0.5000 0.0769
C6 0.8826 0.0000 0.5632
```

=====

No. 2
The following is a theoretical powder XRD pattern of TlMo2C. It was derived from a structure optimized by DFT (GGA-PBE), using a wavelength of 1.5418 Å.
Neutral-atom scattering factors, no anomalous dispersion.

Largest 12 diffraction maxima, most intense first, 2θ from 5° to 70°:
2θ (°)  I (rel.)
37.91  100.0
32.50  22.7
57.99  20.0
38.53  19.8
69.30  16.1
51.27  14.9
33.14  10.6
12.63  10.0
25.41  7.6
56.84  4.5
64.32  3.5
35.00  3.3

```
data_TlMo2C
_cell_length_a 3.1805
_cell_length_b 5.5105
_cell_length_c 14.0195
_cell_angle_alpha 90.00
_cell_angle_beta 90.00
_cell_angle_gamma 90.00
_symmetry_space_group_name_H-M 'P 1'
_symmetry_Int_Tables_number 1
_symmetry_space_group_name_Hall 'P 1'
loop_
_atom_site_label
_atom_site_fract_x
_atom_site_fract_y
_atom_site_fract_z
Tl1 0.0000 0.1684 0.2500
Tl2 0.0000 0.8316 0.7500
Tl3 0.5000 0.3316 0.7500
Tl4 0.5000 0.6684 0.2500
Mo1 0.0000 0.1665 0.5776
Mo2 0.0000 0.1665 0.9224
Mo3 0.0000 0.8335 0.0776
Mo4 0.0000 0.8335 0.4224
Mo5 0.5000 0.3335 0.0776
Mo6 0.5000 0.3335 0.4224
Mo7 0.5000 0.6665 0.5776
Mo8 0.5000 0.6665 0.9224
C1 0.0000 0.5000 0.0000
C2 0.0000 0.5000 0.5000
C3 0.5000 0.0000 0.0000
C4 0.5000 0.0000 0.5000
```

=====

No. 3
The following is a theoretical powder XRD pattern of YTmMo2C3. It was derived from a structure optimized by DFT (GGA-PBE), using a wavelength of 1.5418 Å.
Neutral-atom scattering factors, no anomalous dispersion.

Largest 12 diffraction maxima, most intense first, 2θ from 5° to 70°:
2θ (°)  I (rel.)
33.71  100.0
36.83  84.9
32.21  54.1
33.36  41.9
41.92  28.2
16.47  21.8
54.33  16.2
56.24  15.6
65.25  15.1
64.58  14.6
57.75  14.6
56.65  12.4

```
data_YTmMo2C3
_cell_length_a 11.3024
_cell_length_b 3.3772
_cell_length_c 5.6716
_cell_angle_alpha 90.00
_cell_angle_beta 108.10
_cell_angle_gamma 90.00
_symmetry_space_group_name_H-M 'P 1'
_symmetry_Int_Tables_number 1
_symmetry_space_group_name_Hall 'P 1'
loop_
_atom_site_label
_atom_site_fract_x
_atom_site_fract_y
_atom_site_fract_z
Y1 0.0000 0.0000 0.0000
Y2 0.5000 0.5000 0.0000
Tm1 0.2285 0.0000 0.6403
Tm2 0.7285 0.5000 0.6403
Mo1 0.2633 0.5000 0.1939
Mo2 0.4643 0.0000 0.4489
Mo3 0.7633 0.0000 0.1939
Mo4 0.9643 0.5000 0.4489
C1 0.1148 0.5000 0.3258
C2 0.3416 0.0000 0.0766
C3 0.3829 0.5000 0.5635
C4 0.6148 0.0000 0.3258
C5 0.8416 0.5000 0.0766
C6 0.8829 0.0000 0.5635
```

=====

No. 4
The following is a theoretical powder XRD pattern of Y2TmMoC3. It was derived from a structure optimized by DFT (GGA-PBE), using a wavelength of 1.5418 Å.
Neutral-atom scattering factors, no anomalous dispersion.

Largest 12 diffraction maxima, most intense first, 2θ from 5° to 70°:
2θ (°)  I (rel.)
32.90  100.0
34.38  88.9
31.58  52.1
31.01  33.8
54.29  22.9
16.55  22.8
36.31  22.7
42.48  21.3
56.11  20.4
33.46  19.8
51.62  18.1
61.44  17.6

```
data_Y2TmMoC3
_cell_length_a 12.2600
_cell_length_b 3.5412
_cell_length_c 5.7954
_cell_angle_alpha 90.00
_cell_angle_beta 112.44
_cell_angle_gamma 90.00
_symmetry_space_group_name_H-M 'P 1'
_symmetry_Int_Tables_number 1
_symmetry_space_group_name_Hall 'P 1'
loop_
_atom_site_label
_atom_site_fract_x
_atom_site_fract_y
_atom_site_fract_z
Y1 0.0000 0.0000 0.0000
Y2 0.2414 0.0000 0.6038
Y3 0.5000 0.5000 0.0000
Y4 0.7414 0.5000 0.6038
Tm1 0.2551 0.5000 0.1311
Tm2 0.7551 0.0000 0.1311
Mo1 0.4730 0.0000 0.4396
Mo2 0.9730 0.5000 0.4396
C1 0.1195 0.5000 0.3443
C2 0.3653 0.0000 0.0656
C3 0.4112 0.5000 0.5363
C4 0.6195 0.0000 0.3443
C5 0.8653 0.5000 0.0656
C6 0.9112 0.0000 0.5363
```

=====

No. 5
The following is a theoretical powder XRD pattern of MoWC2. It was derived from a structure optimized by DFT (GGA-PBE), using a wavelength of 1.5418 Å.
Neutral-atom scattering factors, no anomalous dispersion.

Largest 12 diffraction maxima, most intense first, 2θ from 5° to 70°:
2θ (°)  I (rel.)
33.52  100.0
37.74  72.7
45.17  62.8
34.06  58.3
51.74  50.2
16.84  32.4
31.22  31.1
57.76  28.0
64.44  21.4
63.41  15.6
66.12  13.7
50.16  13.5

```
data_MoWC2
_cell_length_a 2.8917
_cell_length_b 2.8917
_cell_length_c 21.0567
_cell_angle_alpha 90.00
_cell_angle_beta 90.00
_cell_angle_gamma 90.00
_symmetry_space_group_name_H-M 'P 1'
_symmetry_Int_Tables_number 1
_symmetry_space_group_name_Hall 'P 1'
loop_
_atom_site_label
_atom_site_fract_x
_atom_site_fract_y
_atom_site_fract_z
Mo1 0.0000 0.0000 0.0000
Mo2 0.0000 0.5000 0.2500
Mo3 0.5000 0.0000 0.7500
Mo4 0.5000 0.5000 0.5000
W1 0.0000 0.0000 0.3700
W2 0.0000 0.5000 0.6200
W3 0.5000 0.0000 0.1200
W4 0.5000 0.5000 0.8700
C1 0.0000 0.0000 0.5403
C2 0.0000 0.0000 0.9018
C3 0.0000 0.5000 0.1518
C4 0.0000 0.5000 0.7903
C5 0.5000 0.0000 0.2903
C6 0.5000 0.0000 0.6518
C7 0.5000 0.5000 0.0403
C8 0.5000 0.5000 0.4018
```

=====

No. 6
The following is a theoretical powder XRD pattern of Zr4Zn3Mo2C3. It was derived from a structure optimized by DFT (GGA-PBE), using a wavelength of 1.5418 Å.
Neutral-atom scattering factors, no anomalous dispersion.

Largest 12 diffraction maxima, most intense first, 2θ from 5° to 70°:
2θ (°)  I (rel.)
37.66  100.0
31.93  24.0
56.89  18.2
39.52  16.9
51.64  9.0
32.61  4.9
51.74  4.2
33.88  3.7
35.80  3.6
12.94  2.7
41.66  2.3
63.58  2.1

```
data_Zr4Zn3Mo2C3
_cell_length_a 5.6051
_cell_length_b 5.6051
_cell_length_c 14.0671
_cell_angle_alpha 101.62
_cell_angle_beta 101.62
_cell_angle_gamma 60.05
_symmetry_space_group_name_H-M 'P 1'
_symmetry_Int_Tables_number 1
_symmetry_space_group_name_Hall 'P 1'
loop_
_atom_site_label
_atom_site_fract_x
_atom_site_fract_y
_atom_site_fract_z
Zr1 0.0408 0.1929 0.0992
Zr2 0.1251 0.3004 0.4007
Zr3 0.1929 0.0408 0.5992
Zr4 0.3004 0.1251 0.9007
Zr5 0.6996 0.8749 0.0993
Zr6 0.8071 0.9592 0.4008
Zr7 0.8749 0.6996 0.5993
Zr8 0.9592 0.8071 0.9008
Zn1 0.1536 0.8464 0.2500
Zn2 0.3189 0.4169 0.7520
Zn3 0.4169 0.3189 0.2520
Zn4 0.5831 0.6811 0.7480
Zn5 0.6811 0.5831 0.2480
Zn6 0.8464 0.1536 0.7500
Mo1 0.3497 0.5241 0.0731
Mo2 0.4759 0.6503 0.4269
Mo3 0.5241 0.3497 0.5731
Mo4 0.6503 0.4759 0.9269
C1 0.0000 0.5000 0.0000
C2 0.1719 0.6643 0.5000
C3 0.3357 0.8281 0.0000
C4 0.5000 0.0000 0.5000
C5 0.6643 0.1719 0.0000
C6 0.8281 0.3357 0.5000
```

=====

No. 7
The following is a theoretical powder XRD pattern of TbNbCN2O2. It was derived from a structure optimized by DFT (GGA-PBE), using a wavelength of 1.5418 Å.
Neutral-atom scattering factors, no anomalous dispersion.

Largest 12 diffraction maxima, most intense first, 2θ from 5° to 70°:
2θ (°)  I (rel.)
30.71  100.0
10.95  61.6
36.38  42.0
50.66  28.1
54.10  25.0
44.44  24.3
22.01  20.8
28.60  19.0
33.28  18.6
61.97  18.5
60.42  14.2
55.88  10.4

```
data_TbNbCN2O2
_cell_length_a 3.6036
_cell_length_b 3.6036
_cell_length_c 8.0768
_cell_angle_alpha 90.00
_cell_angle_beta 90.00
_cell_angle_gamma 120.00
_symmetry_space_group_name_H-M 'P 1'
_symmetry_Int_Tables_number 1
_symmetry_space_group_name_Hall 'P 1'
loop_
_atom_site_label
_atom_site_fract_x
_atom_site_fract_y
_atom_site_fract_z
Tb1 0.0000 0.0000 0.0000
Nb1 0.3333 0.6667 0.3563
C1 0.6667 0.3333 0.6705
N1 0.6667 0.3333 0.5177
N2 0.6667 0.3333 0.8236
O1 0.0000 0.0000 0.2874
O2 0.3333 0.6667 0.0838
```

=====

No. 8
The following is a theoretical powder XRD pattern of TmNbCN2O2. It was derived from a structure optimized by DFT (GGA-PBE), using a wavelength of 1.5418 Å.
Neutral-atom scattering factors, no anomalous dispersion.

Largest 12 diffraction maxima, most intense first, 2θ from 5° to 70°:
2θ (°)  I (rel.)
31.12  100.0
11.01  67.6
36.79  43.4
51.43  27.3
54.56  25.2
44.87  24.3
22.13  21.2
29.01  20.1
33.46  19.0
62.76  18.6
61.34  14.2
56.64  10.4

```
data_TmNbCN2O2
_cell_length_a 3.5538
_cell_length_b 3.5538
_cell_length_c 8.0337
_cell_angle_alpha 90.00
_cell_angle_beta 90.00
_cell_angle_gamma 120.00
_symmetry_space_group_name_H-M 'P 1'
_symmetry_Int_Tables_number 1
_symmetry_space_group_name_Hall 'P 1'
loop_
_atom_site_label
_atom_site_fract_x
_atom_site_fract_y
_atom_site_fract_z
Tm1 0.0000 0.0000 0.0000
Nb1 0.3333 0.6667 0.3545
C1 0.6667 0.3333 0.6731
N1 0.6667 0.3333 0.5195
N2 0.6667 0.3333 0.8271
O1 0.0000 0.0000 0.2823
O2 0.3333 0.6667 0.0795
```

=====

No. 9
The following is a theoretical powder XRD pattern of Nb8C3S2N3. It was derived from a structure optimized by DFT (GGA-PBE), using a wavelength of 1.5418 Å.
Neutral-atom scattering factors, no anomalous dispersion.

Largest 12 diffraction maxima, most intense first, 2θ from 5° to 70°:
2θ (°)  I (rel.)
40.61  100.0
38.26  61.1
33.38  48.3
57.76  44.7
31.99  22.8
59.81  20.8
34.60  20.6
67.56  16.5
36.24  15.4
40.29  13.7
56.12  13.2
32.63  13.0

```
data_Nb8C3S2N3
_cell_length_a 3.1926
_cell_length_b 3.1926
_cell_length_c 22.3844
_cell_angle_alpha 90.00
_cell_angle_beta 90.00
_cell_angle_gamma 120.00
_symmetry_space_group_name_H-M 'P 1'
_symmetry_Int_Tables_number 1
_symmetry_space_group_name_Hall 'P 1'
loop_
_atom_site_label
_atom_site_fract_x
_atom_site_fract_y
_atom_site_fract_z
Nb1 0.0000 0.0000 0.1685
Nb2 0.0000 0.0000 0.3306
Nb3 0.0000 0.0000 0.6694
Nb4 0.0000 0.0000 0.8315
Nb5 0.3333 0.6667 0.0596
Nb6 0.3333 0.6667 0.4453
Nb7 0.6667 0.3333 0.5547
Nb8 0.6667 0.3333 0.9404
C1 0.0000 0.0000 0.0000
C2 0.3333 0.6667 0.8837
C3 0.6667 0.3333 0.1163
S1 0.3333 0.6667 0.2528
S2 0.6667 0.3333 0.7472
N1 0.0000 0.0000 0.5000
N2 0.3333 0.6667 0.6120
N3 0.6667 0.3333 0.3880
```

=====

No. 10
The following is a theoretical powder XRD pattern of Nb3CSN. It was derived from a structure optimized by DFT (GGA-PBE), using a wavelength of 1.5418 Å.
Neutral-atom scattering factors, no anomalous dispersion.

Largest 12 diffraction maxima, most intense first, 2θ from 5° to 70°:
2θ (°)  I (rel.)
38.65  100.0
41.82  67.4
32.80  50.5
57.74  37.0
34.04  19.4
31.04  19.2
58.50  17.9
67.01  13.2
63.46  12.1
10.23  7.6
68.01  6.0
53.84  5.7

```
data_Nb3CSN
_cell_length_a 3.1934
_cell_length_b 3.1934
_cell_length_c 17.2882
_cell_angle_alpha 90.00
_cell_angle_beta 90.00
_cell_angle_gamma 120.00
_symmetry_space_group_name_H-M 'P 1'
_symmetry_Int_Tables_number 1
_symmetry_space_group_name_Hall 'P 1'
loop_
_atom_site_label
_atom_site_fract_x
_atom_site_fract_y
_atom_site_fract_z
Nb1 0.0000 0.0000 0.0000
Nb2 0.0000 0.0000 0.5000
Nb3 0.3333 0.6667 0.1441
Nb4 0.3333 0.6667 0.3539
Nb5 0.6667 0.3333 0.6461
Nb6 0.6667 0.3333 0.8559
C1 0.3333 0.6667 0.5756
C2 0.6667 0.3333 0.4244
S1 0.0000 0.0000 0.2469
S2 0.0000 0.0000 0.7531
N1 0.3333 0.6667 0.9280
N2 0.6667 0.3333 0.0720
```

=====

No. 11
The following is a theoretical powder XRD pattern of Nb4CS2N. It was derived from a structure optimized by DFT (GGA-PBE), using a wavelength of 1.5418 Å.
Neutral-atom scattering factors, no anomalous dispersion.

Largest 12 diffraction maxima, most intense first, 2θ from 5° to 70°:
2θ (°)  I (rel.)
39.01  100.0
55.33  26.2
31.10  25.8
32.06  19.0
69.76  17.0
15.25  13.2
57.36  11.2
64.85  10.4
46.92  10.4
44.32  7.6
30.78  7.1
64.66  5.5

```
data_Nb4CS2N
_cell_length_a 3.3210
_cell_length_b 3.3210
_cell_length_c 11.6187
_cell_angle_alpha 90.00
_cell_angle_beta 90.00
_cell_angle_gamma 120.00
_symmetry_space_group_name_H-M 'P 1'
_symmetry_Int_Tables_number 1
_symmetry_space_group_name_Hall 'P 1'
loop_
_atom_site_label
_atom_site_fract_x
_atom_site_fract_y
_atom_site_fract_z
Nb1 0.3333 0.6667 0.0955
Nb2 0.3333 0.6667 0.4079
Nb3 0.6667 0.3333 0.5921
Nb4 0.6667 0.3333 0.9045
C1 0.0000 0.0000 0.0000
S1 0.3333 0.6667 0.7478
S2 0.6667 0.3333 0.2522
N1 0.0000 0.0000 0.5000
```

=====

No. 12
The following is a theoretical powder XRD pattern of Nb3SnCN. It was derived from a structure optimized by DFT (GGA-PBE), using a wavelength of 1.5418 Å.
Neutral-atom scattering factors, no anomalous dispersion.

Largest 12 diffraction maxima, most intense first, 2θ from 5° to 70°:
2θ (°)  I (rel.)
37.43  100.0
57.70  26.1
37.14  25.3
32.69  18.0
40.04  17.4
67.15  17.2
35.29  10.0
32.35  9.1
50.06  8.0
53.98  7.0
46.41  6.1
62.53  2.6

```
data_Nb3SnCN
_cell_length_a 3.1955
_cell_length_b 3.1955
_cell_length_c 19.3655
_cell_angle_alpha 90.00
_cell_angle_beta 90.00
_cell_angle_gamma 120.00
_symmetry_space_group_name_H-M 'P 1'
_symmetry_Int_Tables_number 1
_symmetry_space_group_name_Hall 'P 1'
loop_
_atom_site_label
_atom_site_fract_x
_atom_site_fract_y
_atom_site_fract_z
Nb1 0.0000 0.0000 0.0000
Nb2 0.0000 0.0000 0.5000
Nb3 0.3333 0.6667 0.1262
Nb4 0.3333 0.6667 0.3708
Nb5 0.6667 0.3333 0.6292
Nb6 0.6667 0.3333 0.8738
Sn1 0.0000 0.0000 0.2481
Sn2 0.0000 0.0000 0.7519
C1 0.3333 0.6667 0.5684
C2 0.6667 0.3333 0.4316
N1 0.3333 0.6667 0.9351
N2 0.6667 0.3333 0.0649
```